# 1
For GdMnO3, a cell relaxed with GGA+U gives the simulated X-ray powder pattern in this record (Cu Kα).
Intensities are scaled so that the largest is 100.

Cell lengths 5.8560, 7.5717, 5.3615 Å; angles 90.00, 90.00, 90.00 degrees
Fractional coordinates of all 20 atoms:
Gd  0.0780  0.2500  0.0171
Gd  0.4220  0.7500  0.5171
Gd  0.5780  0.2500  0.4829
Gd  0.9220  0.7500  0.9829
Mn  0.0000  0.0000  0.5000
Mn  0.0000  0.5000  0.5000
Mn  0.5000  0.0000  0.0000
Mn  0.5000  0.5000  0.0000
O  0.0332  0.7500  0.3927
O  0.1775  0.5534  0.7928
O  0.1775  0.9466  0.7928
O  0.3225  0.0534  0.2928
O  0.3225  0.4466  0.2928
O  0.4668  0.2500  0.8927
O  0.5332  0.7500  0.1073
O  0.6775  0.5534  0.7072
O  0.6775  0.9466  0.7072
O  0.8225  0.0534  0.2072
O  0.8225  0.4466  0.2072
O  0.9668  0.2500  0.6073

Most intense lines, 2θ from 10° to 90°, in order of rising 2θ:
d_spacing, 2θ/deg, I/Imax
3.954, 22.48, 16.1
3.505, 25.41, 27.0
2.928, 30.53, 15.2
2.734, 32.76, 100.0
2.681, 33.43, 21.1
1.977, 45.90, 13.1
1.913, 47.54, 25.9
1.783, 51.25, 19.5
1.558, 59.33, 24.3
1.202, 79.75, 13.7

---

# 2
For Ba2VCu2F12, a cell relaxed with GGA+U gives the simulated X-ray powder pattern in this record (Cu Kα).
Intensities are scaled so that the largest is 100.

Cell lengths 5.4162, 7.0882, 7.4143 Å; angles 66.59, 70.21, 71.68 degrees
Fractional coordinates of all 17 atoms:
Ba  0.2226  0.2920  0.2814
Ba  0.7774  0.7080  0.7186
V  0.0000  0.0000  0.0000
Cu  0.4501  0.7162  0.3333
Cu  0.5499  0.2838  0.6667
F  0.0321  0.7329  0.0040
F  0.1008  0.8944  0.2536
F  0.2333  0.4507  0.5595
F  0.3252  0.8489  0.5340
F  0.3631  0.9985  0.8585
F  0.4662  0.4123  0.8647
F  0.5338  0.5877  0.1353
F  0.6369  0.0015  0.1415
F  0.6748  0.1511  0.4660
F  0.7667  0.5493  0.4405
F  0.8992  0.1056  0.7464
F  0.9679  0.2671  0.9960

Most intense lines, 2θ from 10° to 90°, in order of rising 2θ:
d_spacing, 2θ/deg, I/Imax
3.578, 24.89, 100.0
3.474, 25.65, 50.4
3.336, 26.72, 28.6
3.181, 28.05, 22.6
3.132, 28.50, 36.3
2.977, 30.01, 36.0
2.701, 33.17, 37.8
2.346, 38.38, 46.6
2.170, 41.63, 36.4
2.129, 42.46, 30.8

---

# 3
For VFeCoO4, a cell relaxed with GGA+U gives the simulated X-ray powder pattern in this record (Cu Kα).
Intensities are scaled so that the largest is 100.

Cell lengths 6.0605, 6.0605, 6.0605 Å; angles 120.14, 120.05, 89.84 degrees
Fractional coordinates of all 14 atoms:
V  0.3773  0.1273  0.2500
V  0.6227  0.8727  0.7500
Fe  0.0000  0.5000  0.5000
Fe  0.5000  0.5000  0.0000
Co  0.0000  0.0000  0.5000
Co  0.0000  0.5000  0.0000
O  0.2288  0.7386  0.4902
O  0.2473  0.2673  0.5200
O  0.2473  0.7274  0.9800
O  0.2517  0.2614  0.9902
O  0.7483  0.7386  0.0098
O  0.7527  0.2726  0.0200
O  0.7527  0.7327  0.4800
O  0.7712  0.2614  0.5098

Most intense lines, 2θ from 10° to 90°, in order of rising 2θ:
d_spacing, 2θ/deg, I/Imax
4.946, 17.93, 17.5
3.029, 29.49, 22.8
2.583, 34.73, 100.0
2.473, 36.33, 10.4
2.146, 42.11, 9.5
2.140, 42.24, 18.8
1.651, 55.68, 13.0
1.647, 55.81, 21.7
1.515, 61.18, 40.0
1.115, 87.49, 8.4

---

# 4
For Na2FeS2O10, a cell relaxed with GGA+U gives the simulated X-ray powder pattern in this record (Cu Kα).
Intensities are scaled so that the largest is 100.

Cell lengths 16.3296, 7.0354, 7.3997 Å; angles 90.00, 90.00, 90.00 degrees
Fractional coordinates of all 60 atoms:
Na  0.1582  0.0095  0.0610
Na  0.1582  0.4905  0.0610
Na  0.3418  0.5095  0.5610
Na  0.3418  0.9905  0.5610
Na  0.6582  0.0095  0.4390
Na  0.6582  0.4905  0.4390
Na  0.8418  0.5095  0.9390
Na  0.8418  0.9905  0.9390
Fe  0.0000  0.0000  0.5000
Fe  0.0000  0.5000  0.5000
Fe  0.5000  0.0000  0.0000
Fe  0.5000  0.5000  0.0000
S  0.0104  0.7500  0.1320
S  0.1649  0.2500  0.4866
S  0.3351  0.7500  0.9866
S  0.4896  0.2500  0.6320
S  0.5104  0.7500  0.3680
S  0.6649  0.2500  0.0134
S  0.8351  0.7500  0.5134
S  0.9896  0.2500  0.8680
O  0.0196  0.7500  0.5750
O  0.0290  0.5742  0.2436
O  0.0290  0.9258  0.2436
O  0.0700  0.7500  0.9836
O  0.0751  0.2500  0.9265
O  0.1203  0.0740  0.5457
O  0.1203  0.4260  0.5457
O  0.1776  0.2500  0.2896
O  0.2445  0.2500  0.9023
O  0.2460  0.2500  0.5802
O  0.2540  0.7500  0.0802
O  0.2555  0.7500  0.4023
O  0.3224  0.7500  0.7896
O  0.3797  0.5740  0.0457
O  0.3797  0.9260  0.0457
O  0.4249  0.7500  0.4265
O  0.4300  0.2500  0.4836
O  0.4710  0.0742  0.7436
O  0.4710  0.4258  0.7436
O  0.4804  0.2500  0.0750
O  0.5196  0.7500  0.9250
O  0.5290  0.5742  0.2564
O  0.5290  0.9258  0.2564
O  0.5700  0.7500  0.5164
O  0.5751  0.2500  0.5735
O  0.6203  0.0740  0.9543
O  0.6203  0.4260  0.9543
O  0.6776  0.2500  0.2104
O  0.7445  0.2500  0.5977
O  0.7460  0.2500  0.9198
O  0.7540  0.7500  0.4198
O  0.7555  0.7500  0.0977
O  0.8224  0.7500  0.7104
O  0.8797  0.5740  0.4543
O  0.8797  0.9260  0.4543
O  0.9249  0.7500  0.0735
O  0.9300  0.2500  0.0164
O  0.9710  0.0742  0.7564
O  0.9710  0.4258  0.7564
O  0.9804  0.2500  0.4250

Most intense lines, 2θ from 10° to 90°, in order of rising 2θ:
d_spacing, 2θ/deg, I/Imax
8.165, 10.84, 100.0
6.740, 13.14, 27.4
5.330, 16.63, 28.2
4.867, 18.23, 31.7
3.700, 24.05, 52.5
3.530, 25.23, 24.2
3.211, 27.79, 19.2
3.118, 28.62, 23.4
2.744, 32.63, 80.2
2.722, 32.91, 18.7